(1)
Theoretical X-ray powder pattern of LiZrS2 for copper Kα, from DFT lattice parameters and positions (PBE).
Lines closer than 0.1° are merged.

a b c (Å): 3.5966 3.5966 19.7471
angles (deg): 90.00 90.00 120.00
Space group R3m (No. 160, hexagonal axes)
Asymmetric unit:
Li  0.0000  0.0000  0.0000 (multiplicity 3)
Zr  0.0000  0.0000  0.8273 (multiplicity 3)
S  0.0000  0.0000  0.2407 (multiplicity 3)
S  0.0000  0.0000  0.4125 (multiplicity 3)

Principal peaks in the range 2θ = 10–90°, sorted by position:
2θ (°)  Rel. int.  h k l
13.45  100  0 0 3
30.08  77  0 1 2
36.75  73  0 1 5
43.27  40  1 0 7
50.77  30  1 1 0
52.77  17  1 1 3
55.06  16  1 0 10
64.30  13  2 0 5
78.84  15  1 1 12
86.21  12  1 2 5

(2)
Theoretical X-ray powder pattern of PuSnAu2 for copper Kα, from DFT lattice parameters and positions (PBE).
Lines closer than 0.1° are merged.

a b c (Å): 7.1213 7.1213 7.1213
angles (deg): 90.00 90.00 90.00
Space group Fm-3m (No. 225)
Asymmetric unit:
Pu  0.0000  0.0000  0.0000 (multiplicity 4)
Sn  0.0000  0.0000  0.5000 (multiplicity 4)
Au  0.2500  0.2500  0.2500 (multiplicity 8)

Principal peaks in the range 2θ = 10–90°, sorted by position:
2θ (°)  Rel. int.  h k l
21.61  5  1 1 1
35.66  100  2 2 0
42.08  3  3 1 1
51.32  18  4 0 0
56.31  1  3 3 1
64.06  38  4 2 2
68.46  1  5 1 1
75.52  12  4 4 0
79.65  1  5 3 1
86.42  18  6 2 0